# Tb4PrDy4
Computed powder diffractogram, Cu Kα X-rays. Input: a GGA-PBE-relaxed structure.

Cell and atoms:
```
data_Tb4PrDy4
_cell_length_a 6.2260
_cell_length_b 8.8791
_cell_length_c 10.7860
_cell_angle_alpha 78.41
_cell_angle_beta 89.95
_cell_angle_gamma 83.22
_space_group_name_H-M_alt 'P -1'
_space_group_IT_number 2
loop_
_space_group_symop_operation_xyz
'x,y,z'
'-x,-y,-z'
loop_
_atom_site_label
_atom_site_type_symbol
_atom_site_fract_x
_atom_site_fract_y
_atom_site_fract_z
_atom_site_occupancy
Tb1 Tb 0.1382 0.1652 0.1390 1
Tb2 Tb 0.1383 0.1654 0.4736 1
Tb3 Tb 0.1405 0.1655 0.8058 1
Tb4 Tb 0.3619 0.8344 0.0264 1
Pr1 Pr 0.2501 0.5000 0.2501 1
Dy1 Dy 0.2495 0.5003 0.9165 1
Dy2 Dy 0.2507 0.5002 0.5831 1
Dy3 Dy 0.3599 0.8344 0.6936 1
Dy4 Dy 0.3623 0.8346 0.3615 1
```

Top 10 peaks for 15° ≤ 2θ ≤ 90°, in order of rising 2θ:
2theta, intensity, (hkl)
28.88, 366, 1 0 -3
29.51, 161, -1 1 3
31.07, 508, 0 3 0
31.89, 1000, 1 2 3
33.58, 893, 2 2 0
50.79, 388, 3 1 3
54.69, 213, 1 5 3
57.98, 192, 2 5 0
60.72, 302, 3 4 3
61.24, 155, -2 2 6

=====

# Tb8PrDy3
Computed powder diffractogram, Cu Kα X-rays. Input: a GGA-PBE-relaxed structure.

Cell and atoms:
```
data_Tb8PrDy3
_cell_length_a 6.4510
_cell_length_b 11.3222
_cell_length_c 11.4288
_cell_angle_alpha 90.00
_cell_angle_beta 90.00
_cell_angle_gamma 90.00
_space_group_name_H-M_alt 'I m m m'
_space_group_IT_number 71
_space_group_name_Hall '-I 2 2'
loop_
_atom_site_label
_atom_site_type_symbol
_atom_site_fract_x
_atom_site_fract_y
_atom_site_fract_z
_atom_site_occupancy
Tb1 Tb 0.0000 0.1683 0.2493 1
Tb2 Tb 0.2459 0.2576 0.5000 1
Pr1 Pr 0.0000 0.0000 0.5000 1
Dy1 Dy 0.0000 0.0000 0.0000 1
Dy2 Dy 0.0000 0.5000 0.2573 1
```

Top 10 peaks for 15° ≤ 2θ ≤ 90°, in order of rising 2θ:
2theta, intensity, (hkl)
27.38, 167, 1 3 0
31.31, 502, 0 0 4
31.61, 1000, 1 3 2
31.88, 673, 2 0 2
35.68, 352, 2 2 2
45.33, 189, 2 2 4
51.46, 220, 3 3 2
55.92, 171, 1 3 6
56.50, 185, 2 6 0
66.02, 248, 2 6 4